For HfNpCo10, a cell relaxed with PBE gives the simulated X-ray diffraction stick pattern in this record (a wavelength of 1.5418 Å).
Neutral-atom scattering factors, no anomalous dispersion.

Atomic structure:
a b c (Å): 3.9766 4.7795 8.2638
angles (deg): 90.00 90.00 90.00
Element x y z (fractional)
Hf: 0.0000 0.0000 0.0000
Np: 0.0000 0.5000 0.5000
Co: 0.0000 0.0000 0.3369
Co: 0.0000 0.0000 0.6631
Co: 0.0000 0.5000 0.1695
Co: 0.0000 0.5000 0.8305
Co: 0.5000 0.0000 0.5000
Co: 0.5000 0.2439 0.2435
Co: 0.5000 0.2439 0.7565
Co: 0.5000 0.5000 0.0000
Co: 0.5000 0.7561 0.2435
Co: 0.5000 0.7561 0.7565

Main lines, most intense first (2θ = 10–80°):
- hkl 1 1 3, 44.25 deg, rel. 1000
- hkl 1 0 2, 31.20 deg, rel. 709
- hkl 0 2 0, 37.67 deg, rel. 367
- hkl 0 2 2, 43.78 deg, rel. 364
- hkl 2 0 0, 45.63 deg, rel. 266
- hkl 2 2 2, 65.08 deg, rel. 218
- hkl 1 3 3, 72.58 deg, rel. 217
- hkl 1 3 1, 64.00 deg, rel. 188
- hkl 2 2 0, 60.61 deg, rel. 184
- hkl 1 0 0, 22.36 deg, rel. 127